# 1
This entry pairs a crystal structure of La2Nb2N2O5 with its theoretical X-ray powder pattern. Radiation: copper Kα. Structure: a PBE-relaxed structure.
Neutral-atom scattering factors, no anomalous dispersion.

The 10 most intense peaks (5 to 70 degrees two-theta), in order of rising 2θ:
d_spacing, Position (°2θ), Rel. int.
3.302, 27.00, 51
3.274, 27.24, 28
3.089, 28.90, 100
2.877, 31.09, 48
2.864, 31.23, 31
2.798, 31.98, 80
2.169, 41.64, 29
2.014, 45.02, 34
1.650, 55.72, 19
1.646, 55.86, 34

Structure:
```
La2Nb2N2O5
1.0
2.014 -13.209 0.000
2.014 13.209 0.000
0.000 0.000 5.753
La Nb N O
4 4 4 10
direct
0.051 0.949 0.500
0.201 0.799 0.067
0.799 0.201 0.567
0.949 0.051 0.000
0.337 0.663 0.020
0.439 0.561 0.491
0.561 0.439 0.991
0.663 0.337 0.520
0.048 0.952 0.954
0.153 0.847 0.474
0.847 0.153 0.974
0.952 0.048 0.454
0.278 0.722 0.804
0.298 0.702 0.298
0.377 0.623 0.649
0.411 0.589 0.154
0.484 0.516 0.772
0.516 0.484 0.272
0.589 0.411 0.654
0.623 0.377 0.149
0.702 0.298 0.798
0.722 0.278 0.304
```

=====

# 2
This entry pairs a crystal structure of Ba2CeBe2S6 with its theoretical X-ray powder pattern. Radiation: copper Kα. Structure: a PBE-relaxed structure.
Neutral-atom scattering factors, no anomalous dispersion.

The 10 most intense peaks (5 to 70 degrees two-theta), in order of rising 2θ:
d_spacing, Position (°2θ), Rel. int.
5.787, 15.31, 74
3.876, 22.94, 61
3.487, 25.55, 91
3.361, 26.52, 100
2.893, 30.90, 42
2.592, 34.60, 92
2.420, 37.15, 49
1.988, 45.64, 39
1.888, 48.19, 40
1.743, 52.49, 37

Structure:
```
Ba2CeBe2S6
1.0
3.487 2.013 6.739
-3.487 2.013 6.739
0.000 -4.026 6.739
Ba Ce Be S
2 1 2 6
direct
0.218 0.218 0.218
0.782 0.782 0.782
0.000 0.000 0.000
0.420 0.420 0.420
0.580 0.580 0.580
0.251 0.744 0.744
0.256 0.256 0.749
0.256 0.749 0.256
0.744 0.251 0.744
0.744 0.744 0.251
0.749 0.256 0.256
```

=====

# 3
This entry pairs a crystal structure of Ba2LiTmCu3O7 with its theoretical X-ray powder pattern. Radiation: copper Kα. Structure: a PBE-relaxed structure.
Neutral-atom scattering factors, no anomalous dispersion.

The 10 most intense peaks (5 to 70 degrees two-theta), in order of rising 2θ:
d_spacing, Position (°2θ), Rel. int.
12.585, 7.02, 100
2.903, 30.80, 66
2.800, 31.96, 67
2.747, 32.60, 97
2.478, 36.25, 41
2.413, 37.26, 38
2.298, 39.20, 27
2.011, 45.09, 32
1.633, 56.33, 26
1.504, 61.65, 28

Structure:
```
Ba2LiTmCu3O7
1.0
3.761 0.000 0.000
0.000 4.021 0.000
0.000 0.000 12.585
Ba Li Tm Cu O
2 1 1 3 7
direct
0.000 0.000 0.000
0.000 0.000 0.421
0.000 0.500 0.266
0.000 0.000 0.706
0.500 0.500 0.162
0.500 0.500 0.584
0.500 0.500 0.828
0.000 0.500 0.570
0.000 0.500 0.795
0.500 0.000 0.169
0.500 0.000 0.586
0.500 0.000 0.812
0.500 0.500 0.014
0.500 0.500 0.323
```

=====

# 4
This entry pairs a crystal structure of Tl5In6Bi2 with its theoretical X-ray powder pattern. Radiation: copper Kα. Structure: a PBE-relaxed structure.
Neutral-atom scattering factors, no anomalous dispersion.

The 10 most intense peaks (5 to 70 degrees two-theta), in order of rising 2θ:
d_spacing, Position (°2θ), Rel. int.
2.829, 31.63, 68
2.812, 31.82, 100
2.776, 32.25, 79
2.764, 32.39, 79
2.729, 32.81, 69
2.689, 33.33, 70
2.006, 45.19, 25
1.983, 45.75, 25
1.883, 48.33, 25
1.591, 57.98, 35

Structure:
```
Tl5In6Bi2
1.0
6.599 0.000 0.000
2.029 8.080 0.000
3.253 3.131 7.313
Tl In Bi
5 6 2
direct
0.000 0.000 0.000
0.056 0.180 0.533
0.322 0.606 0.155
0.678 0.394 0.845
0.944 0.820 0.467
0.114 0.306 0.097
0.388 0.793 0.657
0.450 0.960 0.211
0.550 0.040 0.789
0.612 0.207 0.343
0.886 0.694 0.903
0.263 0.427 0.656
0.737 0.573 0.344
```

=====

# 5
This entry pairs a crystal structure of LiHoSbAu with its theoretical X-ray powder pattern. Radiation: copper Kα. Structure: a PBE-relaxed structure.
Neutral-atom scattering factors, no anomalous dispersion.

The 10 most intense peaks (5 to 70 degrees two-theta), in order of rising 2θ:
d_spacing, Position (°2θ), Rel. int.
4.098, 21.69, 30
3.549, 25.09, 12
2.509, 35.78, 100
2.140, 42.23, 17
2.049, 44.20, 4
1.774, 51.50, 18
1.628, 56.52, 7
1.587, 58.12, 5
1.449, 64.30, 36
1.366, 68.72, 5

Structure:
```
LiHoSbAu
1.0
7.098 0.000 0.000
0.000 7.098 0.000
0.000 0.000 7.098
Li Ho Sb Au
4 4 4 4
direct
0.000 0.000 0.000
0.000 0.500 0.500
0.500 0.000 0.500
0.500 0.500 0.000
0.000 0.000 0.500
0.000 0.500 0.000
0.500 0.000 0.000
0.500 0.500 0.500
0.250 0.250 0.250
0.250 0.750 0.750
0.750 0.250 0.750
0.750 0.750 0.250
0.250 0.250 0.750
0.250 0.750 0.250
0.750 0.250 0.250
0.750 0.750 0.750
```

=====

# 6
This entry pairs a crystal structure of BiSbPd2 with its theoretical X-ray powder pattern. Radiation: copper Kα. Structure: a PBE-relaxed structure.
Neutral-atom scattering factors, no anomalous dispersion.

The 10 most intense peaks (5 to 70 degrees two-theta), in order of rising 2θ:
d_spacing, Position (°2θ), Rel. int.
3.084, 28.95, 100
2.262, 39.86, 75
2.111, 42.84, 41
2.103, 43.01, 19
1.739, 52.64, 13
1.701, 53.89, 8
1.699, 53.96, 13
1.545, 59.87, 8
1.541, 60.04, 13
1.441, 64.71, 6

Structure:
```
BiSbPd2
1.0
8.413 0.000 0.000
0.000 7.321 0.000
0.000 0.000 5.762
Bi Sb Pd
4 4 8
direct
0.123 0.090 0.250
0.123 0.410 0.750
0.877 0.590 0.250
0.877 0.910 0.750
0.373 0.573 0.250
0.373 0.927 0.750
0.627 0.073 0.250
0.627 0.427 0.750
0.144 0.750 0.000
0.144 0.750 0.500
0.395 0.250 0.000
0.395 0.250 0.500
0.605 0.750 0.000
0.605 0.750 0.500
0.856 0.250 0.000
0.856 0.250 0.500
```

=====

Question: Number 5 is which compound?
Answer: LiHoSbAu